Structure and computed PXRD pattern of VAgTeO5 (the GGA+U geometry in the Materials Project; Cu Kα (λ = 1.5418 Å)).

Structural model:
Cell lengths 5.9478, 11.5434, 6.9006 Å; angles 90.00, 102.69, 90.00 degrees
Space group P2_1/c (No. 14)
Unique sites:
V 0.1793 0.1207 0.4118 [4 per cell]
Ag 0.3018 0.7085 0.8095 [4 per cell]
Te 0.2595 0.0605 0.9028 [4 per cell]
O 0.0314 0.7027 0.0320 [4 per cell]
O 0.0615 0.0162 0.2201 [4 per cell]
O 0.3347 0.0476 0.6417 [4 per cell]
O 0.3641 0.2076 0.3255 [4 per cell]
O 0.3763 0.5921 0.4873 [4 per cell]

Top 6 peaks for 2θ = 10–90°, in order of rising 2θ:
2θ = 26.7°, rel. 294, hkl 0 3 1
2θ = 27.6°, rel. 408, hkl 1 0 -2
2θ = 27.8°, rel. 1000, hkl 1 3 0
2θ = 30.8°, rel. 538, hkl 2 0 0
2θ = 33.6°, rel. 415, hkl 1 0 2
2θ = 35.4°, rel. 296, hkl 0 3 2